This entry pairs a crystal structure of RbAcNiO4 with its calculated powder X-ray diffraction pattern. Radiation: Cu Kα X-rays. Structure: the PBE+U geometry in Alexandria.

Unit cell a=6.1327 b=5.7161 c=7.9026 alpha=90.00 beta=104.82 gamma=90.00
Space group P2_1/m (No. 11)
Unique sites:
Rb 0.2156 0.2500 0.4337 [2 per cell]
Ac 0.2609 0.2500 0.9445 [2 per cell]
Ni 0.2779 0.7500 0.1887 [2 per cell]
O 0.0765 0.7500 0.3157 [2 per cell]
O 0.0998 0.7500 0.9605 [2 per cell]
O 0.4699 0.5085 0.1962 [4 per cell]

Peak list (10 most intense, 10 to 80 degrees two-theta, by angle)
- (0 0 1), 7.640 Å, 2θ 11.6, rel. 100.0
- (0 1 1), 4.577 Å, 2θ 19.4, rel. 28.6
- (1 1 0), 4.115 Å, 2θ 21.6, rel. 79.7
- (0 1 2), 3.176 Å, 2θ 28.1, rel. 46.9
- (1 1 -2), 3.086 Å, 2θ 28.9, rel. 49.0
- (2 0 0), 2.964 Å, 2θ 30.1, rel. 35.4
- (0 2 0), 2.858 Å, 2θ 31.3, rel. 46.2
- (1 1 2), 2.580 Å, 2θ 34.8, rel. 44.0
- (2 1 -2), 2.442 Å, 2θ 36.8, rel. 31.2
- (2 2 0), 2.057 Å, 2θ 44.0, rel. 36.3